1.
The following is a computed X-ray diffraction stick pattern of K2RbInF6. It was derived from a cell relaxed with GGA-PBE, using Cu Ka.

Top 8 peaks for 2θ = 10–90°, by angle:
(1 1 -1), 19.19°, I = 76
(0 0 2), 19.46°, I = 33
(0 2 0), 26.54°, I = 45
(1 1 1), 27.25°, I = 100
(1 1 -3), 27.67°, I = 94
(2 0 -2), 27.97°, I = 39
(2 2 -2), 38.94°, I = 52
(2 0 -6), 49.59°, I = 37

Structural model:
abc: 6.3806 6.7174 11.0261
angles: 90.00 124.15 90.00
Element x y z (fractional)
K 0.2223 0.0493 0.2362
K 0.2223 0.4507 0.7362
K 0.7777 0.5493 0.2638
K 0.7777 0.9507 0.7638
Rb 0.0000 0.0000 0.5000
Rb 0.0000 0.5000 0.0000
In 0.5000 0.0000 0.0000
In 0.5000 0.5000 0.5000
F 0.1843 0.1629 0.9592
F 0.1843 0.3371 0.4592
F 0.2597 0.7447 0.9135
F 0.2597 0.7553 0.4135
F 0.4083 0.0781 0.7891
F 0.4083 0.4219 0.2891
F 0.5917 0.5781 0.7109
F 0.5917 0.9219 0.2109
F 0.7403 0.2447 0.5865
F 0.7403 0.2553 0.0865
F 0.8157 0.6629 0.5408
F 0.8157 0.8371 0.0408

2.
The following is a computed X-ray diffraction stick pattern of KRbInF6. It was derived from a cell relaxed with GGA-PBE, using Cu Ka.

Top 8 peaks for 2θ = 10–90°, by angle:
(0 0 1), 15.94°, I = 90
(1 1 1), 25.00°, I = 86
(1 0 -1), 25.77°, I = 100
(1 -1 0), 25.87°, I = 90
(0 2 1), 28.28°, I = 74
(1 0 2), 37.53°, I = 77
(1 2 0), 37.64°, I = 72
(-1 2 2), 39.60°, I = 69

Structural model:
abc: 4.5044 6.3208 6.3570
angles: 61.29 87.42 87.32
Element x y z (fractional)
K 0.0000 0.0000 0.0000
Rb 0.5868 0.6729 0.6484
In 0.3020 0.3322 0.3276
F 0.0357 0.0332 0.5451
F 0.0421 0.4588 0.0148
F 0.1023 0.5767 0.4268
F 0.4960 0.1149 0.1913
F 0.5499 0.2029 0.6445
F 0.5796 0.6315 0.1206